Record 1
# Rb3RhN
Theoretical XRD peak list, Cu Kα (weighted mean of Kα1 and Kα2). Input: a DFT-relaxed cell (PBE, Alexandria).
No peak broadening, texture or thermal motion is included.

Crystal structure
Cell lengths 5.689, 5.689, 5.689 Å; angles 90.00, 90.00, 90.00 degrees
Positions (direct):
Rb 0.000 0.000 0.500
Rb 0.000 0.500 0.000
Rb 0.500 0.000 0.000
Rh 0.500 0.500 0.500
N 0.000 0.000 0.000

Principal peaks in the range 10 to 90 degrees two-theta, sorted by position:
2θ (°)	Rel. int.
22.10	2
27.15	100
31.45	60
38.78	1
45.08	42
53.42	45
56.00	15
65.65	7
72.42	18
74.61	19
83.20	14
89.53	15

***

Record 2
# K3TlTe2
Theoretical XRD peak list, Cu Kα (weighted mean of Kα1 and Kα2). Input: a DFT-relaxed cell (PBE, Alexandria).
No peak broadening, texture or thermal motion is included.

Crystal structure
Cell lengths 10.436, 10.436, 10.436 Å; angles 138.53, 60.11, 138.52 degrees
Positions (direct):
K 0.180 0.732 0.912
K 0.250 0.250 0.000
K 0.320 0.232 0.552
K 0.680 0.768 0.448
K 0.750 0.750 0.000
K 0.820 0.268 0.088
Tl 0.250 0.750 0.500
Tl 0.750 0.250 0.500
Te 0.125 0.250 0.376
Te 0.375 0.750 0.125
Te 0.625 0.250 0.875
Te 0.875 0.750 0.624

Principal peaks in the range 10 to 90 degrees two-theta, sorted by position:
2θ (°)	Rel. int.
12.94	39
19.01	14
19.62	43
26.05	59
27.45	20
31.27	100
34.34	75
39.87	23
49.34	35
53.63	18
59.57	31
65.24	17

***

Record 3
# NaNi2Sn4
Theoretical XRD peak list, Cu Kα (weighted mean of Kα1 and Kα2). Input: a DFT-relaxed cell (PBE, Alexandria).
No peak broadening, texture or thermal motion is included.

Crystal structure
Cell lengths 10.402, 10.402, 10.402 Å; angles 23.90, 23.90, 23.90 degrees
Positions (direct):
Na 0.000 0.000 0.000
Ni 0.109 0.109 0.109
Ni 0.891 0.891 0.891
Sn 0.199 0.199 0.199
Sn 0.405 0.405 0.405
Sn 0.595 0.595 0.595
Sn 0.801 0.801 0.801

Principal peaks in the range 10 to 90 degrees two-theta, sorted by position:
2θ (°)	Rel. int.
17.56	22
26.64	29
28.09	88
38.27	100
41.95	86
45.91	16
51.25	18
58.07	30
63.10	22
68.30	16
74.18	29
76.66	21

***

Record 4
# Tb3AlO6
Theoretical XRD peak list, Cu Kα (weighted mean of Kα1 and Kα2). Input: a DFT-relaxed cell (PBE, Alexandria).
No peak broadening, texture or thermal motion is included.

Crystal structure
Cell lengths 7.153, 7.153, 5.419 Å; angles 90.00, 90.00, 102.79 degrees
Positions (direct):
Tb 0.103 0.897 0.500
Tb 0.201 0.413 0.455
Tb 0.413 0.201 0.955
Tb 0.587 0.799 0.455
Tb 0.799 0.587 0.955
Tb 0.897 0.103 0.000
Al 0.306 0.694 0.919
Al 0.694 0.306 0.419
O 0.085 0.609 0.756
O 0.145 0.175 0.726
O 0.175 0.145 0.226
O 0.286 0.714 0.245
O 0.391 0.915 0.756
O 0.455 0.545 0.796
O 0.545 0.455 0.296
O 0.609 0.085 0.256
O 0.714 0.286 0.745
O 0.825 0.855 0.726
O 0.855 0.825 0.226
O 0.915 0.391 0.256

Principal peaks in the range 10 to 90 degrees two-theta, sorted by position:
2θ (°)	Rel. int.
20.76	29
22.86	14
30.48	100
30.79	40
31.10	23
32.02	15
33.06	19
46.03	28
46.69	21
51.10	19
57.46	13
59.93	17

***

Record 5
# Na2NpTlO6
Theoretical XRD peak list, Cu Kα (weighted mean of Kα1 and Kα2). Input: a DFT-relaxed cell (PBE, Alexandria).
No peak broadening, texture or thermal motion is included.

Crystal structure
Cell lengths 5.771, 5.897, 10.044 Å; angles 90.00, 124.83, 90.00 degrees
Positions (direct):
Na 0.238 0.042 0.246
Na 0.238 0.458 0.746
Na 0.762 0.542 0.254
Na 0.762 0.958 0.754
Np 0.500 0.000 0.000
Np 0.500 0.500 0.500
Tl 0.000 0.000 0.500
Tl 0.000 0.500 0.000
O 0.163 0.186 0.952
O 0.163 0.314 0.452
O 0.265 0.719 0.941
O 0.265 0.781 0.441
O 0.367 0.042 0.765
O 0.367 0.458 0.265
O 0.633 0.542 0.735
O 0.633 0.958 0.235
O 0.735 0.219 0.559
O 0.735 0.281 0.059
O 0.837 0.686 0.548
O 0.837 0.814 0.048

Principal peaks in the range 10 to 90 degrees two-theta, sorted by position:
2θ (°)	Rel. int.
21.55	100
30.31	18
30.66	69
30.99	16
37.50	10
43.91	27
48.95	9
49.36	16
49.49	16
54.07	15
54.30	8
54.84	13

***

Record 6
# SrFeOs
Theoretical XRD peak list, Cu Kα (weighted mean of Kα1 and Kα2). Input: a DFT-relaxed cell (PBE, Alexandria).
No peak broadening, texture or thermal motion is included.

Crystal structure
Cell lengths 5.011, 4.360, 5.893 Å; angles 90.00, 101.77, 90.00 degrees
Positions (direct):
Sr 0.000 0.000 0.000
Sr 0.487 0.500 0.854
Fe 0.128 0.000 0.499
Fe 0.884 0.500 0.443
Os 0.341 0.500 0.351
Os 0.609 0.000 0.406

Principal peaks in the range 10 to 90 degrees two-theta, sorted by position:
2θ (°)	Rel. int.
15.36	100
18.08	19
27.37	29
31.00	49
32.65	25
33.36	44
37.38	18
41.42	38
42.28	40
42.40	49
52.63	22
58.58	18

***

Record 7
# Tb4AlCu3
Theoretical XRD peak list, Cu Kα (weighted mean of Kα1 and Kα2). Input: a DFT-relaxed cell (PBE, Alexandria).
No peak broadening, texture or thermal motion is included.

Crystal structure
Cell lengths 3.672, 4.486, 10.944 Å; angles 90.00, 90.00, 90.00 degrees
Positions (direct):
Tb 0.000 0.000 0.000
Tb 0.000 0.500 0.274
Tb 0.500 0.000 0.478
Tb 0.500 0.500 0.790
Al 0.000 0.000 0.703
Cu 0.000 0.500 0.566
Cu 0.500 0.000 0.204
Cu 0.500 0.500 0.070

Principal peaks in the range 10 to 90 degrees two-theta, sorted by position:
2θ (°)	Rel. int.
25.67	53
32.56	100
32.73	21
34.66	49
38.54	26
40.22	62
49.66	16
52.79	23
54.11	27
64.58	15
65.73	13
79.09	13